1.
# LiMn4P3O12
Simulated powder X-ray diffraction pattern, Cu Kα (weighted mean of Kα1 and Kα2). Input: DFT lattice parameters and positions (GGA+U).
Intensities are scaled so that the largest is 100.

Principal peaks in the range 2θ = 10–90°, by angle:
index, 2θ/deg, d (Å), I (rel.)
0 1 2, 13.74, 6.447, 31
1 0 4, 18.38, 4.828, 40
1 1 0, 20.51, 4.330, 34
0 0 6, 21.12, 4.206, 80
1 1 3, 23.10, 3.850, 77
2 0 2, 24.77, 3.594, 42
1 1 6, 29.61, 3.017, 100
2 1 1, 31.77, 2.817, 42
3 0 0, 35.92, 2.500, 47
1 1 9, 38.24, 2.354, 55

Crystal structure
Cell: 8.6595 8.6595 25.2383 Å, 90.00 90.00 120.00°
Space group R3c (No. 161, hexagonal axes)
Asymmetric unit:
Li1 0.0000 0.0000 0.0000 (multiplicity 6)
Mn1 0.0000 0.0000 0.3306 (multiplicity 6)
Mn2 0.0646 0.3500 0.2228 (multiplicity 18)
P1 0.0067 0.3001 0.4260 (multiplicity 18)
O1 0.0501 0.2114 0.7708 (multiplicity 18)
O2 0.0563 0.2273 0.0643 (multiplicity 18)
O3 0.0913 0.5381 0.0553 (multiplicity 18)
O4 0.1414 0.4293 0.1443 (multiplicity 18)

=====

2.
# Li5Mn5P6O24
Simulated powder X-ray diffraction pattern, Cu Kα (weighted mean of Kα1 and Kα2). Input: DFT lattice parameters and positions (GGA+U).
Intensities are scaled so that the largest is 100.

Principal peaks in the range 2θ = 10–90°, by angle:
index, 2θ/deg, d (Å), I (rel.)
1 0 -1, 19.92, 4.458, 64
1 -1 0, 20.29, 4.377, 33
0 1 2, 23.53, 3.781, 62
1 0 2, 23.71, 3.753, 26
1 2 0, 23.88, 3.726, 100
2 0 1, 24.17, 3.683, 51
1 2 3, 32.47, 2.758, 27
1 3 2, 32.87, 2.724, 47
1 1 -2, 34.64, 2.590, 29
1 -2 1, 35.37, 2.538, 24

Crystal structure
Cell: 8.5312 8.5876 8.7009 Å, 61.97 62.46 61.52°
Space group P1 (No. 1)
Asymmetric unit:
Li1 0.0000 0.0000 0.0000 (multiplicity 1)
Li2 0.0182 0.3503 0.8238 (multiplicity 1)
Li3 0.1769 0.3520 0.4719 (multiplicity 1)
Li4 0.5042 0.0464 0.9083 (multiplicity 1)
Li5 0.6673 0.5360 0.7958 (multiplicity 1)
Mn1 0.2005 0.5422 0.0142 (multiplicity 1)
Mn2 0.3545 0.6847 0.1729 (multiplicity 1)
Mn3 0.4909 0.8453 0.3084 (multiplicity 1)
Mn4 0.7000 0.0563 0.5187 (multiplicity 1)
Mn5 0.8613 0.1953 0.6586 (multiplicity 1)
P1 0.0921 0.1410 0.2212 (multiplicity 1)
P2 0.3110 0.9449 0.7164 (multiplicity 1)
P3 0.4033 0.4481 0.6042 (multiplicity 1)
P4 0.5917 0.2364 0.1084 (multiplicity 1)
P5 0.8018 0.7388 0.9093 (multiplicity 1)
P6 0.8842 0.6648 0.4085 (multiplicity 1)
O1 0.0370 0.1626 0.0679 (multiplicity 1)
O2 0.0880 0.6341 0.2697 (multiplicity 1)
O3 0.1193 0.1082 0.7172 (multiplicity 1)
O4 0.1487 0.3026 0.1880 (multiplicity 1)
O5 0.2500 0.3912 0.6250 (multiplicity 1)
O6 0.2623 0.9492 0.2381 (multiplicity 1)
O7 0.2729 0.7948 0.9133 (multiplicity 1)
O8 0.3713 0.5011 0.7641 (multiplicity 1)
O9 0.3751 0.8754 0.5602 (multiplicity 1)
O10 0.4321 0.4377 0.0864 (multiplicity 1)
O11 0.4345 0.6043 0.4145 (multiplicity 1)
O12 0.4620 0.0045 0.7067 (multiplicity 1)
O13 0.5257 0.0879 0.1270 (multiplicity 1)
O14 0.5966 0.2780 0.5995 (multiplicity 1)
O15 0.6024 0.7667 0.0562 (multiplicity 1)
O16 0.6366 0.1964 0.2751 (multiplicity 1)
O17 0.7431 0.7213 0.3144 (multiplicity 1)
O18 0.7532 0.2549 0.9246 (multiplicity 1)
O19 0.7842 0.9419 0.7696 (multiplicity 1)
O20 0.8361 0.5911 0.8393 (multiplicity 1)
O21 0.8391 0.8158 0.4836 (multiplicity 1)
O22 0.8874 0.4726 0.5625 (multiplicity 1)
O23 0.9384 0.1214 0.4120 (multiplicity 1)
O24 0.9617 0.6947 0.9786 (multiplicity 1)

=====

3.
# LiMnPO4
Simulated powder X-ray diffraction pattern, Cu Kα (weighted mean of Kα1 and Kα2). Input: DFT lattice parameters and positions (GGA+U).
Intensities are scaled so that the largest is 100.

Principal peaks in the range 2θ = 10–90°, by angle:
index, 2θ/deg, d (Å), I (rel.)
1 0 1, 17.13, 5.176, 29
0 1 1, 19.14, 4.636, 65
1 1 1, 23.82, 3.736, 70
1 0 2, 24.19, 3.679, 55
0 2 0, 33.20, 2.698, 51
0 1 3, 34.02, 2.635, 56
2 1 1, 34.39, 2.608, 100
2 2 0, 44.18, 2.050, 30
1 1 4, 45.77, 1.982, 45
2 2 2, 48.75, 1.868, 38

Crystal structure
Cell: 6.3074 5.3969 9.0578 Å, 90.00 90.00 90.00°
Space group Pnma (No. 62)
Asymmetric unit:
Li1 0.1828 0.2500 0.0053 (multiplicity 4)
Mn1 0.0159 0.2500 0.7129 (multiplicity 4)
P1 0.2180 0.2500 0.4096 (multiplicity 4)
O1 0.0115 0.7500 0.5312 (multiplicity 4)
O2 0.1251 0.7500 0.0415 (multiplicity 4)
O3 0.2451 0.5110 0.8148 (multiplicity 8)

=====

4.
# LiMnPO4
Simulated powder X-ray diffraction pattern, Cu Kα (weighted mean of Kα1 and Kα2). Input: DFT lattice parameters and positions (GGA+U).
Intensities are scaled so that the largest is 100.

Principal peaks in the range 2θ = 10–90°, by angle:
index, 2θ/deg, d (Å), I (rel.)
0 2 0, 12.04, 7.352, 68
0 4 0, 24.21, 3.676, 13
1 3 0, 27.23, 3.275, 21
1 1 1, 28.01, 3.185, 39
1 3 1, 32.98, 2.716, 100
1 4 1, 36.83, 2.440, 29
0 6 2, 53.06, 1.726, 12
2 0 2, 56.40, 1.631, 18
1 3 3, 64.12, 1.452, 12
3 3 1, 69.61, 1.351, 14

Crystal structure
Cell: 4.4010 14.7047 4.8617 Å, 90.00 90.00 90.00°
Space group Pbcn (No. 60)
Asymmetric unit:
Li1 0.0000 0.2485 0.2500 (multiplicity 4)
Mn1 0.0000 0.0704 0.7500 (multiplicity 4)
P1 0.0000 0.3859 0.7500 (multiplicity 4)
O1 0.1825 0.3265 0.5399 (multiplicity 8)
O2 0.2326 0.4453 0.9083 (multiplicity 8)

=====

What did the first record say?
# LiMn4P3O12
Simulated powder X-ray diffraction pattern, Cu Kα (weighted mean of Kα1 and Kα2). Input: DFT lattice parameters and positions (GGA+U).
Intensities are scaled so that the largest is 100.

Principal peaks in the range 2θ = 10–90°, by angle:
index, 2θ/deg, d (Å), I (rel.)
0 1 2, 13.74, 6.447, 31
1 0 4, 18.38, 4.828, 40
1 1 0, 20.51, 4.330, 34
0 0 6, 21.12, 4.206, 80
1 1 3, 23.10, 3.850, 77
2 0 2, 24.77, 3.594, 42
1 1 6, 29.61, 3.017, 100
2 1 1, 31.77, 2.817, 42
3 0 0, 35.92, 2.500, 47
1 1 9, 38.24, 2.354, 55

Crystal structure
Cell: 8.6595 8.6595 25.2383 Å, 90.00 90.00 120.00°
Space group R3c (No. 161, hexagonal axes)
Asymmetric unit:
Li1 0.0000 0.0000 0.0000 (multiplicity 6)
Mn1 0.0000 0.0000 0.3306 (multiplicity 6)
Mn2 0.0646 0.3500 0.2228 (multiplicity 18)
P1 0.0067 0.3001 0.4260 (multiplicity 18)
O1 0.0501 0.2114 0.7708 (multiplicity 18)
O2 0.0563 0.2273 0.0643 (multiplicity 18)
O3 0.0913 0.5381 0.0553 (multiplicity 18)
O4 0.1414 0.4293 0.1443 (multiplicity 18)